1.
The following is a calculated powder X-ray diffraction pattern of NaSrNbBiO6. It was derived from a structure optimized by DFT (PBE), using CuKα.
Intensities are scaled so that the largest is 1000.

Crystal structure
```
data_NaSrNbBiO6
_cell_length_a 8.4176
_cell_length_b 8.4176
_cell_length_c 8.4176
_cell_angle_alpha 90.00
_cell_angle_beta 90.00
_cell_angle_gamma 90.00
_space_group_name_H-M_alt 'F -4 3 m'
_space_group_IT_number 216
_space_group_name_Hall 'F -4 2 3'
loop_
_atom_site_label
_atom_site_type_symbol
_atom_site_fract_x
_atom_site_fract_y
_atom_site_fract_z
Na1 Na 0.0000 0.0000 0.0000
Sr1 Sr 0.0000 0.0000 0.5000
Nb1 Nb 0.2500 0.2500 0.2500
Bi1 Bi 0.2500 0.2500 0.7500
O1 O 0.0124 0.2500 0.2500
```

Peak list (10 most intense, 2θ from 10° to 90°, in order of falling intensity)
- (2 2 0), 2θ 30.0, d 2.976, I = 1000
- (2 0 0), 2θ 21.1, d 4.209, I = 414
- (4 2 2), 2θ 53.3, d 1.718, I = 411
- (4 0 0), 2θ 43.0, d 2.104, I = 333
- (6 4 2), 2θ 86.5, d 1.125, I = 222
- (4 4 0), 2θ 62.4, d 1.488, I = 206
- (1 1 1), 2θ 18.3, d 4.860, I = 205
- (6 2 0), 2θ 70.8, d 1.331, I = 183
- (4 2 0), 2θ 48.4, d 1.882, I = 180
- (3 1 1), 2θ 35.4, d 2.538, I = 152

2.
The following is a calculated powder X-ray diffraction pattern of KZn2AgF7. It was derived from a structure optimized by DFT (PBE), using CuKα.
Intensities are scaled so that the largest is 1000.

Crystal structure
```
data_KZn2AgF7
_cell_length_a 4.1246
_cell_length_b 4.1246
_cell_length_c 18.8056
_cell_angle_alpha 90.00
_cell_angle_beta 90.00
_cell_angle_gamma 90.00
_space_group_name_H-M_alt 'I -4 m 2'
_space_group_IT_number 119
_space_group_name_Hall 'I -4 -2'
loop_
_atom_site_label
_atom_site_type_symbol
_atom_site_fract_x
_atom_site_fract_y
_atom_site_fract_z
K1 K 0.0000 0.0000 0.0000
Zn1 Zn 0.0000 0.0000 0.3912
Ag1 Ag 0.0000 0.5000 0.2500
F1 F 0.0000 0.0000 0.2744
F2 F 0.0000 0.0000 0.5000
F3 F 0.0000 0.5000 0.1144
F4 F 0.0000 0.5000 0.6050
```

Peak list (10 most intense, 2θ from 10° to 90°, in order of falling intensity)
- (1 0 1), 2θ 22.1, d 4.029, I = 1000
- (1 0 5), 2θ 32.2, d 2.782, I = 851
- (1 0 3), 2θ 25.9, d 3.446, I = 747
- (2 0 0), 2θ 43.9, d 2.062, I = 648
- (0 0 8), 2θ 38.3, d 2.351, I = 303
- (2 0 8), 2θ 59.6, d 1.550, I = 287
- (0 0 6), 2θ 28.5, d 3.134, I = 241
- (2 1 1), 2θ 49.7, d 1.836, I = 217
- (1 0 9), 2θ 48.9, d 1.864, I = 216
- (2 1 3), 2θ 51.7, d 1.770, I = 206

3.
The following is a calculated powder X-ray diffraction pattern of CdIn11Hg17. It was derived from a structure optimized by DFT (PBE), using CuKα.
Intensities are scaled so that the largest is 1000.

Crystal structure
```
data_CdIn11Hg17
_cell_length_a 12.9490
_cell_length_b 15.9584
_cell_length_c 7.9654
_cell_angle_alpha 90.00
_cell_angle_beta 109.02
_cell_angle_gamma 90.00
_space_group_name_H-M_alt 'C 1 m 1'
_space_group_IT_number 8
loop_
_space_group_symop_operation_xyz
'x,y,z'
'x,-y,z'
'x+1/2,y+1/2,z'
'x+1/2,-y+1/2,z'
loop_
_atom_site_label
_atom_site_type_symbol
_atom_site_fract_x
_atom_site_fract_y
_atom_site_fract_z
Cd1 Cd 0.0000 0.0000 0.0000
In1 In 0.0076 0.3976 0.5793
In2 In 0.1839 0.1010 0.8961
In3 In 0.2349 0.5000 0.7685
In4 In 0.2693 0.1879 0.5783
In5 In 0.3576 0.3991 0.2070
In6 In 0.4650 0.1585 0.9833
Hg1 Hg 0.0233 0.1954 0.5501
Hg2 Hg 0.0871 0.1817 0.1881
Hg3 Hg 0.1178 0.5000 0.0710
Hg4 Hg 0.1687 0.0000 0.3778
Hg5 Hg 0.1786 0.3012 0.9006
Hg6 Hg 0.1858 0.3748 0.4019
Hg7 Hg 0.3450 0.1995 0.2444
Hg8 Hg 0.3509 0.0000 0.7471
Hg9 Hg 0.3799 0.0000 0.2220
Hg10 Hg 0.3891 0.3404 0.7994
Hg11 Hg 0.4693 0.5000 0.5729
```

Peak list (10 most intense, 2θ from 10° to 90°, in order of falling intensity)
- (4 0 -2), 2θ 31.1, d 2.877, I = 1000
- (1 5 1), 2θ 32.2, d 2.778, I = 841
- (3 5 0), 2θ 35.7, d 2.512, I = 679
- (1 3 2), 2θ 31.9, d 2.810, I = 522
- (2 0 2), 2θ 31.7, d 2.823, I = 449
- (5 3 0), 2θ 40.6, d 2.224, I = 377
- (3 3 1), 2θ 32.8, d 2.729, I = 362
- (1 5 -2), 2θ 36.1, d 2.490, I = 292
- (0 6 0), 2θ 33.7, d 2.660, I = 292
- (1 3 -3), 2θ 38.1, d 2.360, I = 266

4.
The following is a calculated powder X-ray diffraction pattern of LiTl2SiF6. It was derived from a structure optimized by DFT (PBE), using CuKα.
Intensities are scaled so that the largest is 1000.

Crystal structure
```
data_LiTl2SiF6
_cell_length_a 6.1405
_cell_length_b 7.2710
_cell_length_c 7.0144
_cell_angle_alpha 90.00
_cell_angle_beta 90.00
_cell_angle_gamma 90.00
_space_group_name_H-M_alt 'C m m m'
_space_group_IT_number 65
_space_group_name_Hall '-C 2 2'
loop_
_atom_site_label
_atom_site_type_symbol
_atom_site_fract_x
_atom_site_fract_y
_atom_site_fract_z
Li1 Li 0.0000 0.0000 0.0000
Tl1 Tl 0.0000 0.2563 0.5000
Si1 Si 0.0000 0.5000 0.0000
F1 F 0.0000 0.2658 0.0000
F2 F 0.2011 0.5000 0.1728
```

Peak list (10 most intense, 2θ from 10° to 90°, in order of falling intensity)
- (0 0 1), 2θ 12.6, d 7.014, I = 1000
- (0 2 1), 2θ 27.6, d 3.228, I = 808
- (0 0 2), 2θ 25.4, d 3.507, I = 494
- (2 0 2), 2θ 39.0, d 2.310, I = 455
- (0 2 2), 2θ 35.6, d 2.524, I = 455
- (2 2 1), 2θ 40.6, d 2.225, I = 422
- (2 2 0), 2θ 38.4, d 2.346, I = 401
- (2 0 1), 2θ 31.8, d 2.813, I = 389
- (2 0 0), 2θ 29.1, d 3.070, I = 318
- (0 2 0), 2θ 24.5, d 3.635, I = 298